[1]
Calculated powder XRD pattern
Compound: TmThCo10
Radiation: Cu Kα (weighted mean of Kα1 and Kα2)
Structure: a cell relaxed with GGA-PBE

Crystal structure
Unit cell a=3.976 b=4.905 c=8.539 alpha=90.00 beta=90.00 gamma=90.00
Space group Pmmm (No. 47)
Inequivalent atoms, fractional coordinates:
Tm  0.000  0.000  0.000
Th  0.000  0.500  0.500
Co  0.000  0.000  0.332
Co  0.000  0.500  0.170
Co  0.500  0.000  0.500
Co  0.500  0.242  0.242
Co  0.500  0.500  0.000

The 10 most intense peaks (5 to 70 degrees two-theta), most intense first:
(1 1 3), 2θ 43.22, I = 100; (1 1 1), 2θ 30.77, I = 99; (1 2 0), 2θ 43.35, I = 49; (2 0 0), 2θ 45.63, I = 37; (0 1 3), 2θ 36.50, I = 36; (0 2 2), 2θ 42.51, I = 36; (2 2 2), 2θ 64.12, I = 21; (0 0 4), 2θ 42.34, I = 19; (0 2 0), 2θ 36.65, I = 18; (1 2 4), 2θ 62.16, I = 18



[2]
Calculated powder XRD pattern
Compound: TmTh2Co2
Radiation: Cu Kα (weighted mean of Kα1 and Kα2)
Structure: a cell relaxed with GGA-PBE

Crystal structure
Unit cell a=7.622 b=7.622 c=3.746 alpha=90.00 beta=90.00 gamma=90.00
Space group P4/mbm (No. 127)
Inequivalent atoms, fractional coordinates:
Tm  0.000  0.000  0.000
Th  0.165  0.335  0.500
Co  0.130  0.630  0.000

The 10 most intense peaks (5 to 70 degrees two-theta), most intense first:
(2 1 1), 2θ 35.61, I = 100; (3 1 0), 2θ 37.31, I = 51; (2 0 1), 2θ 33.55, I = 44; (2 1 0), 2θ 26.14, I = 36; (1 1 1), 2θ 29.03, I = 24; (3 1 2), 2θ 62.84, I = 23; (3 3 1), 2θ 56.84, I = 22; (4 1 1), 2θ 55.43, I = 18; (0 0 2), 2θ 48.62, I = 16; (2 2 0), 2θ 33.25, I = 12



[3]
Calculated powder XRD pattern
Compound: Tm2ThCo
Radiation: Cu Kα (weighted mean of Kα1 and Kα2)
Structure: a cell relaxed with GGA-PBE

Crystal structure
Unit cell a=3.379 b=3.379 c=8.617 alpha=90.00 beta=90.00 gamma=90.00
Space group P4/mmm (No. 123)
Inequivalent atoms, fractional coordinates:
Tm  0.000  0.000  0.184
Th  0.500  0.500  0.500
Co  0.500  0.500  0.000

The 10 most intense peaks (5 to 70 degrees two-theta), most intense first:
(1 0 2), 2θ 33.71, I = 100; (1 1 0), 2θ 37.65, I = 55; (1 0 1), 2θ 28.37, I = 52; (1 1 3), 2θ 49.63, I = 30; (2 1 2), 2θ 65.46, I = 30; (0 0 3), 2θ 31.14, I = 27; (2 0 0), 2θ 54.30, I = 19; (1 0 5), 2θ 60.28, I = 15; (2 0 3), 2θ 63.93, I = 14; (1 0 4), 2θ 50.22, I = 13



[4]
Calculated powder XRD pattern
Compound: TmTh3Co8
Radiation: Cu Kα (weighted mean of Kα1 and Kα2)
Structure: a cell relaxed with GGA-PBE

Crystal structure
Unit cell a=5.0793 b=5.0793 c=24.9419 alpha=90.00 beta=90.00 gamma=120.00
Space group R3m (No. 160, hexagonal axes)
Inequivalent atoms, fractional coordinates:
Tm  0.0000  0.0000  0.0000
Th  0.0000  0.0000  0.1236
Th  0.0000  0.0000  0.5027
Th  0.0000  0.0000  0.6290
Co  0.0000  0.0000  0.3143
Co  0.0000  0.0000  0.8137
Co  0.0000  0.5000  0.5647
Co  0.0018  0.5009  0.0628

The 10 most intense peaks (5 to 70 degrees two-theta), most intense first:
(2 0 2), 2θ 41.67, I = 100; (1 1 0), 2θ 35.31, I = 78; (0 1 2), 2θ 21.41, I = 29; (2 1 10), 2θ 67.75, I = 23; (3 0 0), 2θ 63.42, I = 22; (0 2 4), 2θ 43.62, I = 10; (0 0 18), 2θ 67.66, I = 8; (1 0 16), 2θ 63.29, I = 7; (1 2 2), 2θ 55.78, I = 4; (0 2 10), 2θ 55.69, I = 4



[5]
Calculated powder XRD pattern
Compound: TmThCo4
Radiation: Cu Kα (weighted mean of Kα1 and Kα2)
Structure: a cell relaxed with GGA-PBE

Crystal structure
Unit cell a=3.920 b=3.929 c=6.763 alpha=90.00 beta=90.00 gamma=90.00
Space group Pmmm (No. 47)
Inequivalent atoms, fractional coordinates:
Tm  0.000  0.000  0.000
Th  0.000  0.500  0.500
Co  0.500  0.000  0.330
Co  0.500  0.500  0.165

The 10 most intense peaks (5 to 70 degrees two-theta), most intense first:
(1 0 2), 2θ 34.98, I = 100; (0 1 3), 2θ 46.44, I = 23; (0 1 1), 2θ 26.23, I = 19; (1 2 2), 2θ 59.29, I = 15; (2 1 3), 2θ 67.68, I = 15; (0 2 0), 2θ 46.21, I = 12; (2 0 0), 2θ 46.32, I = 12; (0 0 2), 2θ 26.36, I = 9; (2 1 1), 2θ 54.00, I = 8; (2 2 0), 2θ 67.50, I = 7



[6]
Calculated powder XRD pattern
Compound: Tm12ThCo6
Radiation: Cu Kα (weighted mean of Kα1 and Kα2)
Structure: a cell relaxed with GGA-PBE

Crystal structure
Unit cell a=9.633 b=9.633 c=9.633 alpha=90.00 beta=90.00 gamma=90.00
Space group Im-3 (No. 204)
Inequivalent atoms, fractional coordinates:
Tm  0.000  0.307  0.192
Th  0.000  0.000  0.000
Co  0.000  0.114  0.500

The 10 most intense peaks (5 to 70 degrees two-theta), most intense first:
(3 1 2), 2θ 34.85, I = 100; (3 0 1), 2θ 29.32, I = 53; (2 2 2), 2θ 32.19, I = 52; (5 2 3), 2θ 59.12, I = 40; (5 3 0), 2θ 55.63, I = 36; (5 0 1), 2θ 48.17, I = 26; (5 3 4), 2θ 68.93, I = 20; (4 0 0), 2θ 37.34, I = 19; (6 0 0), 2θ 57.39, I = 13; (3 3 0), 2θ 39.70, I = 7



[7]
Calculated powder XRD pattern
Compound: YTh4Co4
Radiation: Cu Kα (weighted mean of Kα1 and Kα2)
Structure: a cell relaxed with GGA-PBE

Crystal structure
Unit cell a=8.653 b=8.653 c=5.562 alpha=90.00 beta=90.00 gamma=90.00
Space group P4_2/n (No. 86, origin choice 2)
Inequivalent atoms, fractional coordinates:
Y  0.250  0.250  0.250
Th  0.057  0.661  0.189
Co  0.043  0.623  0.679

The 10 most intense peaks (5 to 70 degrees two-theta), most intense first:
(1 3 0), 2θ 32.73, I = 100; (2 1 1), 2θ 28.09, I = 97; (1 3 2), 2θ 46.57, I = 39; (4 2 0), 2θ 46.96, I = 37; (5 0 1), 2θ 55.62, I = 34; (0 0 2), 2θ 32.19, I = 28; (1 0 2), 2θ 33.86, I = 27; (1 1 0), 2θ 14.48, I = 23; (4 2 2), 2θ 58.08, I = 20; (2 3 2), 2θ 50.22, I = 16



[8]
Calculated powder XRD pattern
Compound: YTh6Co3
Radiation: Cu Kα (weighted mean of Kα1 and Kα2)
Structure: a cell relaxed with GGA-PBE

Crystal structure
Unit cell a=11.759 b=12.344 c=7.149 alpha=90.00 beta=90.00 gamma=90.00
Space group Cmc2_1 (No. 36)
Inequivalent atoms, fractional coordinates:
Y  0.000  0.240  0.000
Th  0.000  0.188  0.481
Th  0.000  0.471  0.621
Th  0.193  0.010  0.949
Th  0.242  0.266  0.707
Co  0.000  0.036  0.210
Co  0.115  0.372  0.323

The 10 most intense peaks (5 to 70 degrees two-theta), most intense first:
(2 2 2), 2θ 32.72, I = 100; (0 4 0), 2θ 28.91, I = 36; (3 3 0), 2θ 31.53, I = 31; (4 0 0), 2θ 30.41, I = 20; (3 3 2), 2θ 40.59, I = 14; (4 4 0), 2θ 42.47, I = 14; (3 1 0), 2θ 23.82, I = 12; (5 1 2), 2θ 46.82, I = 11; (1 1 2), 2θ 27.05, I = 11; (1 1 1), 2θ 16.19, I = 11



[9]
Calculated powder XRD pattern
Compound: YThCo
Radiation: Cu Kα (weighted mean of Kα1 and Kα2)
Structure: a cell relaxed with GGA-PBE

Crystal structure
Unit cell a=16.4864 b=16.4864 c=5.8262 alpha=90.00 beta=90.00 gamma=120.00
Space group R-3 (No. 148, hexagonal axes)
Inequivalent atoms, fractional coordinates:
Y  0.0144  0.1347  0.2464
Th  0.0129  0.4432  0.2649
Co  0.0030  0.5927  0.2468

The 10 most intense peaks (5 to 70 degrees two-theta), most intense first:
(4 -3 1), 2θ 27.23, I = 100; (6 -1 1), 2θ 38.36, I = 75; (1 1 0), 2θ 10.73, I = 74; (2 0 2), 2θ 33.22, I = 66; (5 2 0), 2θ 39.41, I = 53; (9 0 0), 2θ 58.16, I = 34; (0 7 2), 2θ 54.96, I = 30; (3 3 0), 2θ 32.59, I = 30; (4 1 0), 2θ 28.65, I = 25; (5 0 2), 2θ 44.42, I = 21



[10]
Calculated powder XRD pattern
Compound: ThZn8Co4
Radiation: Cu Kα (weighted mean of Kα1 and Kα2)
Structure: a cell relaxed with GGA-PBE

Crystal structure
Unit cell a=8.760 b=8.760 c=4.950 alpha=90.00 beta=90.00 gamma=90.00
Space group I4/mmm (No. 139)
Inequivalent atoms, fractional coordinates:
Th  0.000  0.000  0.000
Zn  0.000  0.230  0.500
Zn  0.000  0.347  0.000
Co  0.250  0.250  0.250

The 10 most intense peaks (5 to 70 degrees two-theta), most intense first:
(3 2 1), 2θ 41.40, I = 100; (2 0 2), 2θ 41.93, I = 61; (4 0 0), 2θ 41.22, I = 59; (3 0 1), 2θ 35.70, I = 51; (2 1 1), 2θ 29.07, I = 45; (3 1 0), 2θ 32.32, I = 23; (3 2 3), 2θ 68.77, I = 22; (0 0 2), 2θ 36.30, I = 21; (2 2 2), 2θ 47.00, I = 21; (1 0 1), 2θ 20.61, I = 17



[11]
Calculated powder XRD pattern
Compound: Th3Zn2Co4
Radiation: Cu Kα (weighted mean of Kα1 and Kα2)
Structure: a cell relaxed with GGA-PBE

Crystal structure
Unit cell a=9.596 b=4.206 c=8.263 alpha=90.00 beta=94.98 gamma=90.00
Space group C2/m (No. 12)
Inequivalent atoms, fractional coordinates:
Th  0.000  0.000  0.000
Th  0.127  0.500  0.376
Zn  0.177  0.500  0.785
Co  0.088  0.000  0.636
Co  0.237  0.500  0.087

The 10 most intense peaks (5 to 70 degrees two-theta), most intense first:
(1 1 1), 2θ 25.89, I = 100; (3 1 0), 2θ 35.34, I = 72; (1 1 -2), 2θ 31.25, I = 67; (0 2 0), 2θ 43.01, I = 46; (3 1 -2), 2θ 40.42, I = 40; (2 0 2), 2θ 29.85, I = 40; (2 0 -3), 2θ 36.31, I = 38; (1 1 3), 2θ 41.06, I = 37; (4 0 -1), 2θ 38.29, I = 29; (0 0 3), 2θ 32.63, I = 25



[12]
Calculated powder XRD pattern
Compound: ThZn7Co5
Radiation: Cu Kα (weighted mean of Kα1 and Kα2)
Structure: a cell relaxed with GGA-PBE

Crystal structure
Unit cell a=9.955 b=8.663 c=4.935 alpha=90.00 beta=119.42 gamma=90.00
Space group Cm (No. 8)
Inequivalent atoms, fractional coordinates:
Th  0.000  0.000  0.000
Zn  0.023  0.222  0.523
Zn  0.033  0.351  0.033
Zn  0.162  0.500  0.662
Zn  0.252  0.000  0.751
Zn  0.356  0.000  0.354
Co  0.277  0.255  0.022
Co  0.277  0.255  0.530
Co  0.297  0.500  0.296

The 10 most intense peaks (5 to 70 degrees two-theta), most intense first:
(0 4 0), 2θ 41.71, I = 100; (3 3 -1), 2θ 41.86, I = 48; (4 0 -2), 2θ 42.18, I = 45; (1 3 -1), 2θ 36.05, I = 40; (0 2 1), 2θ 29.32, I = 32; (3 1 0), 2θ 32.67, I = 22; (2 0 -2), 2θ 36.41, I = 20; (0 0 1), 2θ 20.71, I = 17; (0 0 2), 2θ 42.04, I = 15; (1 1 1), 2θ 29.20, I = 13